The following is a calculated X-ray diffraction stick pattern of Hf15SiO32. It was derived from a PBE-relaxed structure, using a wavelength of 1.5418 Å.
Lines closer than 0.1° are merged.

The 10 most intense peaks (2θ = 10–90°), by angle:
(hkl)	Position (°2θ)	I (rel.)
0 2 2	28.71	100
0 2 -2	30.09	94
2 0 2	31.03	97
2 0 -2	31.58	83
2 2 0	34.39	48
0 0 4	35.31	37
2 -2 0	35.92	39
0 4 0	48.04	26
2 -2 4	51.76	27
4 0 0	53.03	30

Atomic structure:
Unit cell a=6.916 b=7.591 c=10.181 alpha=87.20 beta=88.83 gamma=87.51
Positions (direct):
Hf  0.000  0.000  0.000
Hf  0.000  0.008  0.512
Hf  0.241  0.309  0.805
Hf  0.243  0.767  0.249
Hf  0.244  0.309  0.307
Hf  0.489  0.056  0.039
Hf  0.492  0.055  0.542
Hf  0.492  0.561  0.007
Hf  0.497  0.569  0.513
Hf  0.741  0.266  0.774
Hf  0.742  0.264  0.276
Hf  0.743  0.793  0.764
Hf  0.743  0.805  0.273
Hf  0.970  0.502  0.043
Hf  0.975  0.515  0.541
Si  0.244  0.776  0.754
O  0.015  0.843  0.361
O  0.018  0.308  0.183
O  0.025  0.308  0.676
O  0.046  0.816  0.850
O  0.217  0.506  0.929
O  0.217  0.531  0.420
O  0.217  0.986  0.135
O  0.233  0.951  0.648
O  0.263  0.586  0.672
O  0.264  0.080  0.419
O  0.265  0.079  0.907
O  0.287  0.535  0.165
O  0.440  0.760  0.850
O  0.458  0.240  0.680
O  0.465  0.213  0.192
O  0.469  0.768  0.368
O  0.524  0.325  0.422
O  0.531  0.313  0.923
O  0.531  0.797  0.117
O  0.558  0.802  0.608
O  0.699  0.477  0.145
O  0.707  0.490  0.654
O  0.713  0.017  0.399
O  0.718  0.996  0.897
O  0.764  0.589  0.905
O  0.771  0.583  0.401
O  0.776  0.062  0.651
O  0.781  0.052  0.146
O  0.940  0.759  0.611
O  0.949  0.263  0.924
O  0.956  0.271  0.427
O  0.962  0.745  0.124